Record 1
This entry pairs a crystal structure of Mg7SiN6 with its computed PXRD pattern. Radiation: λ = 1.5418 Å (Cu Kα). Structure: a DFT-relaxed cell (PBE, the Materials Project).
Peak positions follow from Bragg's law for the DFT cell and can differ from measured ones.

Structure:
```
data_Mg7SiN6
_chemical_formula_sum 'Mg28 Si4 N24'
_cell_length_a 5.4958
_cell_length_b 10.2897
_cell_length_c 11.5142
_cell_angle_alpha 90.00
_cell_angle_beta 90.00
_cell_angle_gamma 90.00
_symmetry_space_group_name_H-M 'I b a m'
_symmetry_Int_Tables_number 72
_symmetry_space_group_name_Hall '-I 2 2c'
loop_
_atom_site_label
_atom_site_type_symbol
_atom_site_fract_x
_atom_site_fract_y
_atom_site_fract_z
Mg1 Mg 0.0000 0.0000 0.2500
Mg2 Mg 0.1052 0.2711 0.1200
Mg3 Mg 0.2187 0.0421 0.0000
Si1 Si 0.0000 0.5000 0.2500
N1 N 0.1292 0.1555 0.5000
N2 N 0.1937 0.3948 0.3280
```

Most intense lines, 15 to 90 degrees two-theta, in order of rising 2θ:
- hkl 1 1 2, 24.00°, d 3.708, rel. 19
- hkl 0 4 0, 34.88°, d 2.572, rel. 16
- hkl 0 2 4, 35.74°, d 2.512, rel. 100
- hkl 2 0 2, 36.24°, d 2.479, rel. 25
- hkl 1 4 1, 39.46°, d 2.284, rel. 38
- hkl 2 2 2, 40.38°, d 2.234, rel. 35
- hkl 2 3 1, 42.90°, d 2.108, rel. 19
- hkl 2 3 3, 48.63°, d 1.872, rel. 22
- hkl 2 4 2, 51.16°, d 1.785, rel. 18
- hkl 2 1 5, 52.61°, d 1.740, rel. 21
- hkl 2 5 1, 56.43°, d 1.631, rel. 15
- hkl 1 6 3, 61.61°, d 1.505, rel. 26

---

Record 2
This entry pairs a crystal structure of Rb2Ge2Se5 with its computed PXRD pattern. Radiation: λ = 1.5418 Å (Cu Kα). Structure: a DFT-relaxed cell (PBE, the Materials Project).
Peak positions follow from Bragg's law for the DFT cell and can differ from measured ones.

Structure:
```
data_Rb2Ge2Se5
_chemical_formula_sum 'Rb16 Ge16 Se40'
_cell_length_a 16.6379
_cell_length_b 16.6484
_cell_length_c 9.6257
_cell_angle_alpha 90.00
_cell_angle_beta 103.74
_cell_angle_gamma 90.00
_symmetry_space_group_name_H-M 'C 1 2/c 1'
_symmetry_Int_Tables_number 15
_symmetry_space_group_name_Hall '-C 2yc'
loop_
_atom_site_label
_atom_site_type_symbol
_atom_site_fract_x
_atom_site_fract_y
_atom_site_fract_z
Rb1 Rb 0.1325 0.0792 0.1141
Rb2 Rb 0.1576 0.3694 0.3830
Ge1 Ge 0.0677 0.2019 0.6124
Ge2 Ge 0.1014 0.3689 0.9006
Se1 Se 0.0000 0.1140 0.7500
Se2 Se 0.0000 0.4543 0.7500
Se3 Se 0.0365 0.2825 0.0463
Se4 Se 0.1258 0.1205 0.4705
Se5 Se 0.1719 0.2840 0.7621
Se6 Se 0.2004 0.4438 0.0516
```

Most intense lines, 15 to 90 degrees two-theta, in order of rising 2θ:
- hkl 2 2 -2, 22.30°, d 3.987, rel. 30
- hkl 3 3 -1, 23.36°, d 3.808, rel. 53
- hkl 3 3 1, 26.44°, d 3.371, rel. 100
- hkl 2 4 1, 26.86°, d 3.319, rel. 28
- hkl 4 2 -2, 27.68°, d 3.223, rel. 42
- hkl 4 2 1, 28.16°, d 3.169, rel. 41
- hkl 1 5 -1, 28.57°, d 3.124, rel. 29
- hkl 2 4 -2, 29.10°, d 3.068, rel. 40
- hkl 2 2 -3, 30.14°, d 2.965, rel. 41
- hkl 4 4 0, 30.84°, d 2.899, rel. 27
- hkl 3 3 2, 32.47°, d 2.757, rel. 30
- hkl 6 6 -1, 46.32°, d 1.960, rel. 49

---

Record 3
This entry pairs a crystal structure of CaTa2Bi2O9 with its computed PXRD pattern. Radiation: λ = 1.5418 Å (Cu Kα). Structure: a DFT-relaxed cell (PBE, the Materials Project).
Peak positions follow from Bragg's law for the DFT cell and can differ from measured ones.

Structure:
```
data_CaTa2Bi2O9
_chemical_formula_sum 'Ca2 Ta4 Bi4 O18'
_cell_length_a 3.7861
_cell_length_b 3.7861
_cell_length_c 26.4012
_cell_angle_alpha 90.00
_cell_angle_beta 90.00
_cell_angle_gamma 90.00
_symmetry_space_group_name_H-M 'I 4/m m m'
_symmetry_Int_Tables_number 139
_symmetry_space_group_name_Hall '-I 4 2'
loop_
_atom_site_label
_atom_site_type_symbol
_atom_site_fract_x
_atom_site_fract_y
_atom_site_fract_z
Ca1 Ca 0.0000 0.0000 0.0000
Ta1 Ta 0.0000 0.0000 0.4205
Bi1 Bi 0.0000 0.0000 0.3000
O1 O 0.0000 0.0000 0.1549
O2 O 0.0000 0.0000 0.5000
O3 O 0.0000 0.5000 0.0652
O4 O 0.0000 0.5000 0.2500
```

Most intense lines, 15 to 90 degrees two-theta, in order of rising 2θ:
- hkl 1 0 1, 23.74°, d 3.748, rel. 46
- hkl 1 0 3, 25.61°, d 3.478, rel. 22
- hkl 0 0 8, 27.02°, d 3.300, rel. 15
- hkl 1 1 0, 33.51°, d 2.674, rel. 100
- hkl 1 1 8, 43.53°, d 2.079, rel. 14
- hkl 2 0 0, 48.06°, d 1.893, rel. 20
- hkl 1 1 10, 48.42°, d 1.880, rel. 16
- hkl 2 1 1, 54.29°, d 1.690, rel. 10
- hkl 2 0 8, 56.00°, d 1.642, rel. 9
- hkl 1 0 15, 57.77°, d 1.596, rel. 7
- hkl 2 1 7, 59.88°, d 1.545, rel. 25
- hkl 3 1 0, 80.18°, d 1.197, rel. 12

---

Record 4
This entry pairs a crystal structure of Ba2Sc2O5 with its computed PXRD pattern. Radiation: λ = 1.5418 Å (Cu Kα). Structure: a DFT-relaxed cell (PBE, the Materials Project).
Peak positions follow from Bragg's law for the DFT cell and can differ from measured ones.

Structure:
```
data_Ba2Sc2O5
_chemical_formula_sum 'Ba8 Sc8 O20'
_cell_length_a 9.1973
_cell_length_b 8.6364
_cell_length_c 8.4273
_cell_angle_alpha 90.00
_cell_angle_beta 91.23
_cell_angle_gamma 90.00
_symmetry_space_group_name_H-M 'C 1 2/c 1'
_symmetry_Int_Tables_number 15
_symmetry_space_group_name_Hall '-C 2yc'
loop_
_atom_site_label
_atom_site_type_symbol
_atom_site_fract_x
_atom_site_fract_y
_atom_site_fract_z
Ba1 Ba 0.2307 0.0349 0.3060
Sc1 Sc 0.0290 0.2722 0.0217
O1 O 0.0000 0.2225 0.2500
O2 O 0.0000 0.5000 0.0000
O3 O 0.1143 0.1475 0.5884
O4 O 0.2500 0.2500 0.0000
```

Most intense lines, 15 to 90 degrees two-theta, in order of rising 2θ:
- hkl 2 0 0, 19.31°, d 4.598, rel. 22
- hkl 0 2 0, 20.57°, d 4.318, rel. 13
- hkl 1 1 -2, 25.26°, d 3.525, rel. 45
- hkl 2 2 0, 28.37°, d 3.145, rel. 100
- hkl 2 0 2, 29.05°, d 3.073, rel. 27
- hkl 0 2 2, 29.63°, d 3.015, rel. 47
- hkl 2 2 1, 30.46°, d 2.934, rel. 15
- hkl 2 2 2, 35.86°, d 2.504, rel. 18
- hkl 3 1 -2, 37.39°, d 2.405, rel. 16
- hkl 4 0 0, 39.21°, d 2.298, rel. 24
- hkl 1 1 4, 45.62°, d 1.989, rel. 18
- hkl 5 1 -2, 55.08°, d 1.667, rel. 13

---

Record 5
This entry pairs a crystal structure of NiGe3 with its computed PXRD pattern. Radiation: λ = 1.5418 Å (Cu Kα). Structure: a DFT-relaxed cell (PBE, the Materials Project).
Peak positions follow from Bragg's law for the DFT cell and can differ from measured ones.

Structure:
```
data_NiGe3
_chemical_formula_sum 'Ni1 Ge3'
_cell_length_a 4.0279
_cell_length_b 4.0279
_cell_length_c 4.0279
_cell_angle_alpha 90.00
_cell_angle_beta 90.00
_cell_angle_gamma 90.00
_symmetry_space_group_name_H-M 'P m -3 m'
_symmetry_Int_Tables_number 221
_symmetry_space_group_name_Hall '-P 4 2 3'
loop_
_atom_site_label
_atom_site_type_symbol
_atom_site_fract_x
_atom_site_fract_y
_atom_site_fract_z
Ni1 Ni 0.0000 0.0000 0.0000
Ge1 Ge 0.0000 0.5000 0.5000
```

Most intense lines, 15 to 90 degrees two-theta, in order of rising 2θ:
- hkl 1 1 1, 38.72°, d 2.325, rel. 100
- hkl 2 0 0, 45.01°, d 2.014, rel. 48
- hkl 2 2 0, 65.55°, d 1.424, rel. 30
- hkl 3 1 1, 78.81°, d 1.214, rel. 35
- hkl 2 2 2, 83.06°, d 1.163, rel. 10

---

Record 6
This entry pairs a crystal structure of Li3Cu3P2O8 with its computed PXRD pattern. Radiation: λ = 1.5418 Å (Cu Kα). Structure: a DFT-relaxed cell (PBE, the Materials Project).
Peak positions follow from Bragg's law for the DFT cell and can differ from measured ones.

Structure:
```
data_Li3Cu3P2O8
_chemical_formula_sum 'Li6 Cu6 P4 O16'
_cell_length_a 5.4490
_cell_length_b 6.2141
_cell_length_c 10.1884
_cell_angle_alpha 90.13
_cell_angle_beta 90.22
_cell_angle_gamma 90.55
_symmetry_space_group_name_H-M 'P 1'
_symmetry_Int_Tables_number 1
_symmetry_space_group_name_Hall 'P 1'
loop_
_atom_site_label
_atom_site_type_symbol
_atom_site_fract_x
_atom_site_fract_y
_atom_site_fract_z
Li1 Li 0.0000 0.0000 0.0000
Li2 Li 0.9998 0.0034 0.5015
Li3 Li 0.3448 0.9945 0.7487
Li4 Li 0.5186 0.7479 0.4997
Li5 Li 0.8247 0.2491 0.2518
Li6 Li 0.8266 0.2506 0.7495
Cu1 Cu 0.0024 0.4988 0.0021
Cu2 Cu 0.0089 0.4906 0.5007
Cu3 Cu 0.3281 0.9939 0.2550
Cu4 Cu 0.3289 0.5034 0.2514
Cu5 Cu 0.3369 0.5128 0.7482
Cu6 Cu 0.4883 0.7514 0.9993
P1 P 0.5020 0.2416 0.5059
P2 P 0.5056 0.2415 0.0000
P3 P 0.8468 0.7538 0.2555
P4 P 0.8482 0.7582 0.7493
O1 O 0.3520 0.0458 0.9467
O2 O 0.3538 0.0390 0.4588
O3 O 0.3713 0.4489 0.9515
O4 O 0.3772 0.4541 0.4579
O5 O 0.5075 0.2403 0.6591
O6 O 0.5150 0.2433 0.1529
O7 O 0.5771 0.7491 0.2042
O8 O 0.5797 0.7636 0.6962
O9 O 0.7673 0.2343 0.4491
O10 O 0.7708 0.2354 0.9440
O11 O 0.8471 0.7615 0.4082
O12 O 0.8531 0.7632 0.9030
O13 O 0.9690 0.5419 0.7042
O14 O 0.9704 0.5405 0.2078
O15 O 0.9738 0.9581 0.1967
O16 O 0.9916 0.9575 0.6960
```

Most intense lines, 15 to 90 degrees two-theta, in order of rising 2θ:
- hkl 1 1 0, 21.80°, d 4.077, rel. 35
- hkl 1 -1 2, 27.87°, d 3.202, rel. 46
- hkl 2 0 0, 32.88°, d 2.724, rel. 49
- hkl 1 -2 0, 33.05°, d 2.710, rel. 58
- hkl 1 2 0, 33.33°, d 2.688, rel. 45
- hkl 0 0 4, 35.24°, d 2.547, rel. 100
- hkl 2 0 -2, 37.37°, d 2.406, rel. 34
- hkl -1 2 2, 37.56°, d 2.395, rel. 86
- hkl 1 2 -2, 37.78°, d 2.381, rel. 34
- hkl 1 2 2, 37.91°, d 2.374, rel. 32
- hkl 3 -2 0, 58.62°, d 1.575, rel. 35
- hkl 1 2 -6, 64.81°, d 1.439, rel. 54